Structure and calculated X-ray powder pattern of CrIrO4 (a cell relaxed with PBE+U; Cu Kα (weighted mean of Kα1 and Kα2)).
Neutral-atom scattering factors, no anomalous dispersion.

Atomic structure:
a = 6.376 Å, b = 6.490 Å, c = 3.118 Å
α = 90.00°, β = 90.00°, γ = 90.00°
Space group Cmmm (No. 65)
One atom of each set of equivalent atoms:
1 Cr 0.000 0.000 0.000 x2
2 Ir 0.000 0.500 0.500 x2
3 O 0.000 0.310 0.000 x4
4 O 0.196 0.000 0.500 x4

The 12 most intense peaks (2θ from 5° to 70°), low angle first:
d 4.548, intensity 78; d 3.245, intensity 62; d 3.188, intensity 58; d 3.118, intensity 15; d 2.571, intensity 100; d 2.274, intensity 28; d 2.248, intensity 26; d 2.020, intensity 16; d 1.837, intensity 15; d 1.712, intensity 41; d 1.695, intensity 38; d 1.363, intensity 23

***

Structure and calculated X-ray powder pattern of Ba2NiMoO6 (a cell relaxed with PBE+U; Cu Kα (weighted mean of Kα1 and Kα2)).
Neutral-atom scattering factors, no anomalous dispersion.

Atomic structure:
a = 8.184 Å, b = 8.184 Å, c = 8.184 Å
α = 90.00°, β = 90.00°, γ = 90.00°
Space group Fm-3m (No. 225)
One atom of each set of equivalent atoms:
1 Ba 0.250 0.250 0.250 x8
2 Ni 0.000 0.000 0.000 x4
3 Mo 0.000 0.000 0.500 x4
4 O 0.000 0.000 0.261 x24

The 10 most intense peaks (2θ from 5° to 70°), low angle first:
d 4.725, intensity 2; d 4.092, intensity 3; d 2.894, intensity 100; d 2.468, intensity 1; d 2.363, intensity 9; d 2.046, intensity 32; d 1.830, intensity 2; d 1.671, intensity 39; d 1.447, intensity 19; d 1.364, intensity 1

***

Structure and calculated X-ray powder pattern of Na4MgMo4O10 (a cell relaxed with PBE+U; Cu Kα (weighted mean of Kα1 and Kα2)).
Neutral-atom scattering factors, no anomalous dispersion.

Atomic structure:
a = 5.635 Å, b = 5.923 Å, c = 8.656 Å
α = 70.64°, β = 71.28°, γ = 88.96°
Space group P1 (No. 1)
One atom of each set of equivalent atoms:
1 Na 0.000 0.000 0.000 x1
2 Na 0.096 0.657 0.395 x1
3 Na 0.415 0.875 0.798 x1
4 Na 0.575 0.026 0.394 x1
5 Mg 0.871 0.468 0.801 x1
6 Mo 0.231 0.352 0.115 x1
7 Mo 0.458 0.448 0.633 x1
8 Mo 0.620 0.589 0.130 x1
9 Mo 0.962 0.984 0.618 x1
10 O 0.116 0.234 0.707 x1
11 O 0.163 0.093 0.337 x1
12 O 0.212 0.706 0.668 x1
13 O 0.252 0.689 0.105 x1
14 O 0.454 0.310 0.900 x1
15 O 0.517 0.573 0.360 x1
16 O 0.676 0.203 0.578 x1
17 O 0.748 0.686 0.599 x1
18 O 0.765 0.780 0.889 x1
19 O 0.870 0.340 0.083 x1

The 12 most intense peaks (2θ from 5° to 70°), low angle first:
d 5.560, intensity 35; d 5.492, intensity 28; d 4.118, intensity 40; d 4.045, intensity 88; d 3.848, intensity 100; d 2.960, intensity 25; d 2.842, intensity 21; d 2.817, intensity 52; d 2.794, intensity 40; d 2.782, intensity 78; d 2.023, intensity 31; d 1.924, intensity 25

***

Structure and calculated X-ray powder pattern of Mn2CuO4 (a cell relaxed with PBE+U; Cu Kα (weighted mean of Kα1 and Kα2)).
Neutral-atom scattering factors, no anomalous dispersion.

Atomic structure:
a = 6.0591 Å, b = 6.0591 Å, c = 14.7841 Å
α = 90.00°, β = 90.00°, γ = 120.00°
Space group P3m1 (No. 156)
One atom of each set of equivalent atoms:
1 Mn 0.0000 0.0000 0.0000 x1
2 Mn 0.0000 0.0000 0.3768 x1
3 Mn 0.1680 0.3359 0.1652 x3
4 Mn 0.3333 0.6667 0.7096 x1
5 Mn 0.3339 0.1669 0.8335 x3
6 Mn 0.5010 0.0021 0.4989 x3
7 Cu 0.0000 0.0000 0.6228 x1
8 Cu 0.3333 0.6667 0.3310 x1
9 Cu 0.3333 0.6667 0.9571 x1
10 Cu 0.6667 0.3333 0.0409 x1
11 Cu 0.6667 0.3333 0.2877 x1
12 Cu 0.6667 0.3333 0.6654 x1
13 O 0.0000 0.0000 0.2379 x1
14 O 0.0000 0.0000 0.7569 x1
15 O 0.0277 0.5139 0.2397 x3
16 O 0.1505 0.3010 0.9105 x3
17 O 0.1827 0.3654 0.4244 x3
18 O 0.3021 0.1510 0.0876 x3
19 O 0.3333 0.6667 0.0905 x1
20 O 0.3333 0.6667 0.5733 x1
21 O 0.3624 0.1812 0.5733 x3
22 O 0.5151 0.0303 0.7593 x3
23 O 0.6667 0.3333 0.4214 x1
24 O 0.6667 0.3333 0.9089 x1

The 12 most intense peaks (2θ from 5° to 70°), low angle first:
d 4.941, intensity 11; d 3.026, intensity 44; d 2.582, intensity 100; d 2.576, intensity 34; d 2.473, intensity 8; d 2.139, intensity 23; d 1.748, intensity 11; d 1.743, intensity 5; d 1.648, intensity 38; d 1.645, intensity 11; d 1.515, intensity 30; d 1.511, intensity 29

***

Structure and calculated X-ray powder pattern of Li2Mn3O6 (a cell relaxed with PBE+U; Cu Kα (weighted mean of Kα1 and Kα2)).
Neutral-atom scattering factors, no anomalous dispersion.

Atomic structure:
a = 8.992 Å, b = 5.182 Å, c = 10.251 Å
α = 90.00°, β = 90.00°, γ = 90.00°
Space group Cmce (No. 64)
One atom of each set of equivalent atoms:
1 Li 0.250 0.097 0.250 x8
2 Mn 0.000 0.000 0.000 x4
3 Mn 0.164 0.000 0.500 x8
4 O 0.000 0.173 0.592 x8
5 O 0.182 0.160 0.893 x16

The 12 most intense peaks (2θ from 5° to 70°), low angle first:
d 5.125, intensity 100; d 2.591, intensity 7; d 2.563, intensity 4; d 2.515, intensity 30; d 2.313, intensity 24; d 2.066, intensity 36; d 1.822, intensity 14; d 1.609, intensity 17; d 1.481, intensity 16; d 1.438, intensity 5; d 1.426, intensity 5; d 1.371, intensity 4

***

Structure and calculated X-ray powder pattern of Fe5O7F3 (a cell relaxed with PBE+U; Cu Kα (weighted mean of Kα1 and Kα2)).
Neutral-atom scattering factors, no anomalous dispersion.

Atomic structure:
a = 4.657 Å, b = 4.657 Å, c = 15.914 Å
α = 90.00°, β = 106.97°, γ = 90.00°
Space group Pc (No. 7)
One atom of each set of equivalent atoms:
1 Fe 0.000 0.230 0.000 x2
2 Fe 0.140 0.270 0.194 x2
3 Fe 0.368 0.232 0.400 x2
4 Fe 0.577 0.251 0.601 x2
5 Fe 0.814 0.236 0.806 x2
6 O 0.086 0.074 0.297 x2
7 O 0.089 0.440 0.904 x2
8 O 0.271 0.448 0.099 x2
9 O 0.301 0.066 0.504 x2
10 O 0.695 0.049 0.903 x2
11 O 0.859 0.426 0.699 x2
12 O 0.878 0.052 0.097 x2
13 F 0.475 0.459 0.299 x2
14 F 0.478 0.040 0.703 x2
15 F 0.680 0.453 0.499 x2

The 12 most intense peaks (2θ from 5° to 70°), low angle first:
d 3.293, intensity 100; d 2.548, intensity 54; d 2.328, intensity 9; d 2.235, intensity 16; d 2.083, intensity 5; d 2.063, intensity 2; d 1.719, intensity 58; d 1.646, intensity 16; d 1.522, intensity 9; d 1.473, intensity 9; d 1.383, intensity 25; d 1.381, intensity 6